[1]
# DyErC4
Theoretical X-ray diffraction stick pattern, a wavelength of 1.5418 Å. Input: a cell relaxed with PBE.

Crystal structure
```
DyErC4
1.0
3.649 0.000 0.000
0.000 3.649 0.000
0.000 0.000 6.181
Dy Er C
1 1 4
Cartesian
0.000 0.000 0.000 Dy
1.825 1.825 3.090 Er
0.000 0.000 2.440 C
0.000 0.000 3.741 C
1.825 1.825 0.653 C
1.825 1.825 5.528 C
```

Top 6 peaks for 2θ = 10–90°, sorted by position:
- 28.4°, d 3.142, I = 1000
- 28.9°, d 3.090, I = 326
- 34.8°, d 2.580, I = 479
- 45.8°, d 1.981, I = 367
- 50.9°, d 1.794, I = 279
- 58.5°, d 1.578, I = 286



[2]
# Rb5Pb2S4
Theoretical X-ray diffraction stick pattern, a wavelength of 1.5418 Å. Input: a cell relaxed with PBE.

Crystal structure
```
Rb5Pb2S4
1.0
8.832 -2.457 0.000
8.832 2.457 0.000
-1.962 0.000 11.007
Rb Pb S
5 2 4
Cartesian
0.000 0.000 0.000 Rb
4.927 0.000 1.955 Rb
5.151 0.000 6.228 Rb
10.551 0.000 4.779 Rb
10.775 0.000 9.052 Rb
-0.724 0.000 7.269 Pb
16.426 0.000 3.738 Pb
1.943 0.000 7.080 S
8.068 0.000 2.328 S
7.634 0.000 8.679 S
13.759 0.000 3.927 S
```

Top 6 peaks for 2θ = 10–90°, sorted by position:
- 10.2°, d 8.695, I = 776
- 11.8°, d 7.492, I = 611
- 23.7°, d 3.749, I = 985
- 24.2°, d 3.676, I = 838
- 24.6°, d 3.615, I = 582
- 31.6°, d 2.834, I = 1000



[3]
# PuTaClO4
Theoretical X-ray diffraction stick pattern, a wavelength of 1.5418 Å. Input: a cell relaxed with PBE.

Crystal structure
```
PuTaClO4
1.0
5.252 -3.706 0.000
5.252 3.706 0.000
-2.571 0.000 6.598
Pu Ta Cl O
2 2 2 8
Cartesian
1.937 0.000 1.106 Pu
5.996 0.000 5.492 Pu
1.934 0.000 5.086 Ta
5.999 0.000 1.512 Ta
-1.830 0.000 5.114 Cl
9.764 0.000 1.484 Cl
0.921 1.570 5.373 O
2.189 0.000 3.247 O
4.221 0.000 0.848 O
0.921 -1.570 5.373 O
7.013 1.570 1.225 O
3.712 0.000 5.750 O
5.745 0.000 3.351 O
7.013 -1.570 1.225 O
```

Top 6 peaks for 2θ = 10–90°, sorted by position:
- 13.4°, d 6.598, I = 432
- 18.1°, d 4.894, I = 449
- 24.0°, d 3.706, I = 1000
- 26.3°, d 3.386, I = 434
- 27.0°, d 3.299, I = 407
- 28.4°, d 3.141, I = 747



[4]
# SiNi6W
Theoretical X-ray diffraction stick pattern, a wavelength of 1.5418 Å. Input: a cell relaxed with PBE.

Crystal structure
```
SiNi6W
1.0
3.571 -5.072 0.000
3.571 5.072 0.000
0.000 0.000 10.131
Si Ni W
4 24 4
Cartesian
0.000 0.000 2.476 Si
0.000 0.000 7.655 Si
3.571 2.474 0.000 Si
3.571 -2.474 0.000 Si
0.000 0.000 0.000 Ni
0.000 0.000 5.066 Ni
1.756 1.257 3.776 Ni
1.756 1.257 6.355 Ni
1.773 1.273 1.248 Ni
1.773 1.273 8.883 Ni
3.571 2.548 2.515 Ni
3.571 2.548 7.616 Ni
1.756 -1.257 3.776 Ni
1.756 -1.257 6.355 Ni
1.773 -1.273 1.248 Ni
1.773 -1.273 8.883 Ni
3.571 0.000 0.000 Ni
3.571 0.000 5.066 Ni
5.369 1.273 1.248 Ni
5.369 1.273 8.883 Ni
5.386 1.257 3.776 Ni
5.386 1.257 6.355 Ni
3.571 -2.548 2.515 Ni
3.571 -2.548 7.616 Ni
5.369 -1.273 1.248 Ni
5.369 -1.273 8.883 Ni
5.386 -1.257 3.776 Ni
5.386 -1.257 6.355 Ni
3.571 2.476 5.066 W
3.571 0.000 2.474 W
3.571 0.000 7.657 W
3.571 -2.476 5.066 W
```

Top 6 peaks for 2θ = 10–90°, sorted by position:
- 15.2°, d 5.839, I = 110
- 23.2°, d 3.826, I = 74
- 43.8°, d 2.067, I = 1000
- 51.0°, d 1.792, I = 314
- 51.2°, d 1.785, I = 156
- 75.1°, d 1.265, I = 187



[5]
# Nb12Al3Au
Theoretical X-ray diffraction stick pattern, a wavelength of 1.5418 Å. Input: a cell relaxed with PBE.

Crystal structure
```
Nb12Al3Au
1.0
5.218 0.000 0.000
0.000 5.229 0.000
0.000 0.000 10.421
Nb Al Au
12 3 1
Cartesian
0.000 0.000 1.290 Nb
0.000 0.000 3.875 Nb
0.000 0.000 6.546 Nb
0.000 0.000 9.131 Nb
1.317 2.614 2.628 Nb
1.317 2.614 7.793 Nb
2.609 1.302 5.210 Nb
2.609 1.306 0.000 Nb
2.609 3.923 0.000 Nb
2.609 3.927 5.210 Nb
3.902 2.614 2.628 Nb
3.902 2.614 7.793 Nb
0.000 2.614 5.210 Al
2.609 0.000 2.620 Al
2.609 0.000 7.801 Al
0.000 2.614 0.000 Au
```

Top 6 peaks for 2θ = 10–90°, sorted by position:
- 34.3°, d 2.612, I = 183
- 38.6°, d 2.334, I = 1000
- 42.4°, d 2.131, I = 605
- 64.3°, d 1.449, I = 139
- 67.0°, d 1.396, I = 149
- 67.2°, d 1.394, I = 155



[6]
# Pm7PrY2
Theoretical X-ray diffraction stick pattern, a wavelength of 1.5418 Å. Input: a cell relaxed with PBE.

Crystal structure
```
Pm7PrY2
1.0
6.058 -8.552 0.000
6.058 8.552 0.000
0.000 0.000 3.518
Pm Pr Y
7 1 2
Cartesian
0.000 0.000 0.000 Pm
2.938 2.255 0.000 Pm
6.058 5.572 1.759 Pm
2.938 -2.255 0.000 Pm
9.178 2.255 0.000 Pm
6.058 -5.572 1.759 Pm
9.178 -2.255 0.000 Pm
6.058 0.000 1.759 Pr
6.058 2.911 0.000 Y
6.058 -2.911 0.000 Y
```

Top 6 peaks for 2θ = 10–90°, sorted by position:
- 25.5°, d 3.493, I = 707
- 29.4°, d 3.042, I = 493
- 29.5°, d 3.029, I = 919
- 30.8°, d 2.907, I = 1000
- 36.2°, d 2.479, I = 427
- 37.4°, d 2.405, I = 750



[7]
# Ho6AlZn
Theoretical X-ray diffraction stick pattern, a wavelength of 1.5418 Å. Input: a cell relaxed with PBE.

Crystal structure
```
Ho6AlZn
1.0
7.067 0.000 0.000
0.000 7.085 0.000
-3.522 0.000 8.693
Ho Al Zn
12 2 2
Cartesian
0.004 1.771 2.517 Ho
0.004 5.314 2.517 Ho
-1.755 0.000 8.673 Ho
1.766 3.542 0.020 Ho
0.007 1.771 6.176 Ho
0.007 5.313 6.176 Ho
3.537 1.771 2.517 Ho
3.537 5.313 2.517 Ho
1.778 3.542 8.673 Ho
5.299 0.000 0.020 Ho
3.541 1.771 6.176 Ho
3.541 5.314 6.176 Ho
-1.761 0.000 4.347 Al
1.772 3.542 4.347 Al
-1.761 3.542 4.347 Zn
1.772 0.000 4.347 Zn
```

Top 6 peaks for 2θ = 10–90°, sorted by position:
- 27.2°, d 3.277, I = 239
- 32.6°, d 2.744, I = 1000
- 35.9°, d 2.502, I = 451
- 48.0°, d 1.894, I = 155
- 56.1°, d 1.641, I = 133
- 62.4°, d 1.487, I = 233